(1)
K4Hg2Pb: calculated X-ray diffraction stick pattern (a wavelength of 1.5418 Å), based on a GGA-PBE-relaxed structure.

Structural model:
a = 7.527 Å, b = 8.337 Å, c = 11.105 Å
α = 92.25°, β = 107.67°, γ = 115.00°
Fractional coordinates of all 14 atoms:
1 K 0.171 0.233 0.140
2 K 0.233 0.737 0.652
3 K 0.278 0.769 0.292
4 K 0.287 0.268 0.796
5 K 0.713 0.732 0.204
6 K 0.722 0.231 0.708
7 K 0.767 0.263 0.348
8 K 0.829 0.767 0.860
9 Hg 0.202 0.594 0.962
10 Hg 0.500 0.000 0.000
11 Hg 0.500 0.500 0.500
12 Hg 0.798 0.406 0.038
13 Pb 0.185 0.111 0.452
14 Pb 0.815 0.889 0.548

The 10 most intense peaks (2θ from 5° to 70°), sorted by position:
2θ/deg  intensity
14.59  1000
17.09  820
17.37  934
27.32  374
29.96  401
31.49  492
32.30  481
32.48  375
32.99  430
34.05  328


(2)
TaNi15Sn4: calculated X-ray diffraction stick pattern (a wavelength of 1.5418 Å), based on a GGA-PBE-relaxed structure.

Structural model:
a = 3.724 Å, b = 3.724 Å, c = 18.573 Å
α = 90.00°, β = 90.00°, γ = 90.00°
Fractional coordinates of all 20 atoms:
1 Ta 0.000 0.000 0.000
2 Ni 0.000 0.500 0.095
3 Ni 0.000 0.500 0.298
4 Ni 0.000 0.500 0.500
5 Ni 0.000 0.500 0.702
6 Ni 0.000 0.500 0.905
7 Ni 0.500 0.000 0.095
8 Ni 0.500 0.000 0.298
9 Ni 0.500 0.000 0.500
10 Ni 0.500 0.000 0.702
11 Ni 0.500 0.000 0.905
12 Ni 0.500 0.500 0.000
13 Ni 0.500 0.500 0.197
14 Ni 0.500 0.500 0.399
15 Ni 0.500 0.500 0.601
16 Ni 0.500 0.500 0.803
17 Sn 0.000 0.000 0.199
18 Sn 0.000 0.000 0.400
19 Sn 0.000 0.000 0.600
20 Sn 0.000 0.000 0.801

The 10 most intense peaks (2θ from 5° to 70°), sorted by position:
2θ/deg  intensity
9.52  16
14.31  7
23.92  135
34.08  114
42.06  1000
48.92  320
49.05  156
55.17  44
55.27  22
61.00  51


(3)
PrDy5Er3: calculated X-ray diffraction stick pattern (a wavelength of 1.5418 Å), based on a GGA-PBE-relaxed structure.

Structural model:
a = 9.323 Å, b = 9.323 Å, c = 12.173 Å
α = 126.06°, β = 126.06°, γ = 50.57°
Fractional coordinates of all 18 atoms:
1 Pr 0.237 0.237 0.134
2 Pr 0.763 0.763 0.866
3 Dy 0.124 0.124 0.567
4 Dy 0.143 0.729 0.221
5 Dy 0.271 0.857 0.779
6 Dy 0.299 0.299 0.929
7 Dy 0.321 0.679 0.000
8 Dy 0.679 0.321 0.000
9 Dy 0.701 0.701 0.071
10 Dy 0.729 0.143 0.221
11 Dy 0.857 0.271 0.779
12 Dy 0.876 0.876 0.433
13 Er 0.000 0.000 0.000
14 Er 0.169 0.169 0.339
15 Er 0.379 0.379 0.682
16 Er 0.500 0.500 0.500
17 Er 0.621 0.621 0.318
18 Er 0.831 0.831 0.661

The 10 most intense peaks (2θ from 5° to 70°), sorted by position:
2θ/deg  intensity
22.33  422
26.36  368
29.45  327
30.37  501
31.14  626
31.47  1000
31.89  686
32.80  814
35.15  451
37.35  299


(4)
ThCuB: calculated X-ray diffraction stick pattern (a wavelength of 1.5418 Å), based on a GGA-PBE-relaxed structure.

Structural model:
a = 4.860 Å, b = 4.860 Å, c = 6.647 Å
α = 102.31°, β = 102.31°, γ = 46.25°
Fractional coordinates of all 6 atoms:
1 Th 0.108 0.108 0.292
2 Th 0.892 0.892 0.708
3 Cu 0.357 0.357 0.076
4 Cu 0.643 0.643 0.924
5 B 0.415 0.415 0.423
6 B 0.585 0.585 0.577

The 10 most intense peaks (2θ from 5° to 70°), sorted by position:
2θ/deg  intensity
21.83  392
25.49  392
27.24  474
27.59  233
30.18  1000
30.39  370
36.04  473
38.93  765
41.55  267
47.65  224


(5)
KGaNi2: calculated X-ray diffraction stick pattern (a wavelength of 1.5418 Å), based on a GGA-PBE-relaxed structure.

Structural model:
a = 8.781 Å, b = 8.781 Å, c = 8.781 Å
α = 148.15°, β = 148.15°, γ = 45.67°
Fractional coordinates of all 8 atoms:
1 K 0.375 0.625 0.750
2 K 0.625 0.375 0.250
3 Ga 0.125 0.875 0.250
4 Ga 0.875 0.125 0.750
5 Ni 0.000 0.000 0.000
6 Ni 0.000 0.000 0.500
7 Ni 0.000 0.500 0.000
8 Ni 0.500 0.000 0.500

The 10 most intense peaks (2θ from 5° to 70°), sorted by position:
2θ/deg  intensity
19.22  1000
28.42  658
37.32  155
39.00  359
42.75  207
43.73  193
44.80  207
45.31  218
50.86  313
58.81  349


(6)
Tb3Y2Tm7: calculated X-ray diffraction stick pattern (a wavelength of 1.5418 Å), based on a GGA-PBE-relaxed structure.

Structural model:
a = 18.987 Å, b = 18.987 Å, c = 3.557 Å
α = 90.00°, β = 90.00°, γ = 162.98°
Fractional coordinates of all 12 atoms:
1 Tb 0.000 0.000 0.000
2 Tb 0.186 0.814 0.000
3 Tb 0.814 0.186 0.000
4 Y 0.353 0.647 0.500
5 Y 0.647 0.353 0.500
6 Tm 0.091 0.909 0.500
7 Tm 0.269 0.731 0.500
8 Tm 0.429 0.571 0.000
9 Tm 0.500 0.500 0.500
10 Tm 0.571 0.429 0.000
11 Tm 0.731 0.269 0.500
12 Tm 0.909 0.091 0.500

The 10 most intense peaks (2θ from 5° to 70°), sorted by position:
2θ/deg  intensity
28.52  161
30.63  401
31.56  222
31.84  496
32.07  1000
34.19  248
34.92  207
45.44  163
51.35  245
56.88  199